SrCuIr: calculated XRD peak list (Cu Kα (λ = 1.5418 Å)), based on the GGA-PBE geometry in Alexandria.
Lines closer than 0.1° are merged.

Atomic structure:
Unit cell a=4.4386 b=5.9783 c=6.0209 alpha=69.83 beta=68.49 gamma=89.81
Sites, in units of the cell vectors:
Sr: 0.1069 0.3097 0.2869
Sr: 0.8931 0.6903 0.7131
Cu: 0.4022 0.3091 0.6940
Cu: 0.5978 0.6909 0.3060
Ir: 0.2169 0.9102 0.0674
Ir: 0.7831 0.0898 0.9326

Principal peaks in the range 15 to 90 degrees two-theta, low angle first:
| h k l | 2theta | I (rel.) |
| --- | --- | --- |
| 0 1 0 | 16.0 | 42 |
| 0 0 1 | 17.0 | 58 |
| 0 1 1 | 18.6 | 100 |
| 0 2 1 | 30.4 | 33 |
| 0 1 2 | 32.1 | 40 |
| 1 -2 0 | 36.5 | 28 |
| 0 2 2 | 37.6 | 40 |
| 2 0 1 | 40.7 | 87 |
| 1 -1 2 | 40.9 | 38 |
| 2 2 3 | 56.6 | 31 |

---

Tb5CuIr4: calculated XRD peak list (Cu Kα (λ = 1.5418 Å)), based on the GGA-PBE geometry in Alexandria.
Lines closer than 0.1° are merged.

Atomic structure:
Unit cell a=3.4449 b=3.4449 c=17.4452 alpha=90.00 beta=90.00 gamma=90.00
Sites, in units of the cell vectors:
Tb: 0.0000 0.0000 0.0000
Tb: 0.0000 0.0000 0.1982
Tb: 0.0000 0.0000 0.3945
Tb: 0.0000 0.0000 0.6055
Tb: 0.0000 0.0000 0.8018
Cu: 0.5000 0.5000 0.5000
Ir: 0.5000 0.5000 0.0996
Ir: 0.5000 0.5000 0.2999
Ir: 0.5000 0.5000 0.7001
Ir: 0.5000 0.5000 0.9004

Principal peaks in the range 15 to 90 degrees two-theta, low angle first:
| h k l | 2theta | I (rel.) |
| --- | --- | --- |
| 1 0 5 | 36.7 | 100 |
| 1 1 0 | 36.9 | 49 |
| 0 0 10 | 52.5 | 9 |
| 2 0 0 | 53.2 | 17 |
| 1 1 10 | 65.9 | 18 |
| 2 1 5 | 66.3 | 36 |
| 2 0 10 | 77.9 | 11 |
| 2 2 0 | 78.5 | 6 |
| 1 0 15 | 88.8 | 8 |
| 3 0 5 | 89.9 | 8 |

---

Copy entry 2 word for word.
Tb5CuIr4: calculated XRD peak list (Cu Kα (λ = 1.5418 Å)), based on the GGA-PBE geometry in Alexandria.
Lines closer than 0.1° are merged.

Atomic structure:
Unit cell a=3.4449 b=3.4449 c=17.4452 alpha=90.00 beta=90.00 gamma=90.00
Sites, in units of the cell vectors:
Tb: 0.0000 0.0000 0.0000
Tb: 0.0000 0.0000 0.1982
Tb: 0.0000 0.0000 0.3945
Tb: 0.0000 0.0000 0.6055
Tb: 0.0000 0.0000 0.8018
Cu: 0.5000 0.5000 0.5000
Ir: 0.5000 0.5000 0.0996
Ir: 0.5000 0.5000 0.2999
Ir: 0.5000 0.5000 0.7001
Ir: 0.5000 0.5000 0.9004

Principal peaks in the range 15 to 90 degrees two-theta, low angle first:
| h k l | 2theta | I (rel.) |
| --- | --- | --- |
| 1 0 5 | 36.7 | 100 |
| 1 1 0 | 36.9 | 49 |
| 0 0 10 | 52.5 | 9 |
| 2 0 0 | 53.2 | 17 |
| 1 1 10 | 65.9 | 18 |
| 2 1 5 | 66.3 | 36 |
| 2 0 10 | 77.9 | 11 |
| 2 2 0 | 78.5 | 6 |
| 1 0 15 | 88.8 | 8 |
| 3 0 5 | 89.9 | 8 |